Calculated X-ray powder pattern
Compound: ScTaV2O6
Radiation: CuKα
Structure: a GGA+U-relaxed structure
Lines closer than 0.1° are merged.

Largest 8 diffraction maxima, in order of falling intensity, 15° ≤ 2θ ≤ 90°:
2θ/deg  I (rel.)
31.4  100
33.7  92
22.9  88
20.3  79
51.1  68
46.8  41
38.7  40
58.9  36

Structural model:
Cell lengths 5.721, 5.721, 5.721 Å; angles 55.34, 55.34, 55.34 degrees
Element x y z (fractional)
Sc 0.000 0.000 0.000
Ta 0.505 0.505 0.505
V 0.205 0.205 0.205
V 0.705 0.705 0.705
O 0.136 0.779 0.406
O 0.298 0.619 0.888
O 0.406 0.136 0.779
O 0.619 0.888 0.298
O 0.779 0.406 0.136
O 0.888 0.298 0.619